# H5SeI4
Theoretical X-ray diffraction stick pattern, λ = 1.5418 Å (Cu Kα). Input: a crystal structure in Alexandria, relaxed with PBE.
Intensities are scaled so that the largest is 100.

Structure:
```
data_H5SeI4
_chemical_formula_sum 'H10 Se2 I8'
_cell_length_a 8.463
_cell_length_b 8.463
_cell_length_c 8.204
_cell_angle_alpha 90.00
_cell_angle_beta 90.00
_cell_angle_gamma 90.00
_space_group_name_H-M_alt 'I 4'
_space_group_IT_number 79
_space_group_name_Hall 'I 4'
loop_
_atom_site_label
_atom_site_type_symbol
_atom_site_fract_x
_atom_site_fract_y
_atom_site_fract_z
_atom_site_occupancy
H1 H 0.000 0.000 0.000 1
H2 H 0.114 0.785 0.179 1
Se1 Se 0.000 0.000 0.181 1
I1 I 0.103 0.290 0.670 1
```

Peak list (10 most intense, 2θ = 10–90°, sorted by position)
h k l	Position (°2θ)	intensity
0 0 2	21.67	40
2 1 1	25.93	100
1 3 0	33.48	25
1 3 2	40.24	30
2 1 3	40.71	29
4 2 0	48.08	9
4 2 2	53.31	13
5 0 1	55.43	23
1 3 4	56.53	11
5 0 3	64.78	14

***

# DyNi4
Theoretical X-ray diffraction stick pattern, λ = 1.5418 Å (Cu Kα). Input: a crystal structure in Alexandria, relaxed with PBE.
Intensities are scaled so that the largest is 100.

Structure:
```
data_DyNi4
_chemical_formula_sum 'Dy8 Ni32'
_cell_length_a 8.319
_cell_length_b 8.319
_cell_length_c 8.319
_cell_angle_alpha 90.00
_cell_angle_beta 90.00
_cell_angle_gamma 90.00
_space_group_name_H-M_alt 'I -4 3 m'
_space_group_IT_number 217
_space_group_name_Hall 'I -4 2 3'
loop_
_atom_site_label
_atom_site_type_symbol
_atom_site_fract_x
_atom_site_fract_y
_atom_site_fract_z
_atom_site_occupancy
Dy1 Dy 0.223 0.223 0.223 1
Ni1 Ni 0.000 0.000 0.352 1
Ni2 Ni 0.000 0.250 0.500 1
Ni3 Ni 0.100 0.100 0.900 1
```

Peak list (10 most intense, 2θ = 10–90°, sorted by position)
h k l	Position (°2θ)	intensity
2 2 0	30.39	64
2 2 2	37.45	100
3 2 1	40.58	56
4 0 0	43.51	31
4 1 1	46.30	80
4 2 0	48.97	23
4 3 1	56.40	19
4 4 0	63.23	21
6 1 1	69.67	34
5 5 0	81.88	18

***

# Ba3Zn5Si2
Theoretical X-ray diffraction stick pattern, λ = 1.5418 Å (Cu Kα). Input: a crystal structure in Alexandria, relaxed with PBE.
Intensities are scaled so that the largest is 100.

Structure:
```
data_Ba3Zn5Si2
_chemical_formula_sum 'Ba12 Zn20 Si8'
_cell_length_a 10.364
_cell_length_b 14.736
_cell_length_c 6.678
_cell_angle_alpha 90.00
_cell_angle_beta 90.00
_cell_angle_gamma 90.00
_space_group_name_H-M_alt 'I b a m'
_space_group_IT_number 72
_space_group_name_Hall '-I 2 2c'
loop_
_atom_site_label
_atom_site_type_symbol
_atom_site_fract_x
_atom_site_fract_y
_atom_site_fract_z
_atom_site_occupancy
Ba1 Ba 0.000 0.000 0.250 1
Ba2 Ba 0.225 0.365 0.000 1
Zn1 Zn 0.000 0.240 0.250 1
Zn2 Zn 0.000 0.500 0.250 1
Zn3 Zn 0.116 0.374 0.500 1
Si1 Si 0.144 0.156 0.000 1
```

Peak list (10 most intense, 2θ = 10–90°, sorted by position)
h k l	Position (°2θ)	intensity
1 2 1	19.88	21
2 4 0	29.75	94
3 2 1	31.58	76
2 0 2	31.88	82
0 4 2	36.31	100
3 6 1	47.41	18
3 2 3	50.31	17
4 4 2	51.04	17
2 8 2	60.07	26
2 4 4	63.78	20

***

# Sc6InSn
Theoretical X-ray diffraction stick pattern, λ = 1.5418 Å (Cu Kα). Input: a crystal structure in Alexandria, relaxed with PBE.
Intensities are scaled so that the largest is 100.

Structure:
```
data_Sc6InSn
_chemical_formula_sum 'Sc6 In1 Sn1'
_cell_length_a 4.512
_cell_length_b 4.512
_cell_length_c 9.038
_cell_angle_alpha 90.00
_cell_angle_beta 90.00
_cell_angle_gamma 90.00
_space_group_name_H-M_alt 'P 4/m m m'
_space_group_IT_number 123
_space_group_name_Hall '-P 4 2'
loop_
_atom_site_label
_atom_site_type_symbol
_atom_site_fract_x
_atom_site_fract_y
_atom_site_fract_z
_atom_site_occupancy
Sc1 Sc 0.000 0.000 0.000 1
Sc2 Sc 0.000 0.000 0.500 1
Sc3 Sc 0.000 0.500 0.250 1
In1 In 0.500 0.500 0.000 1
Sn1 Sn 0.500 0.500 0.500 1
```

Peak list (10 most intense, 2θ = 10–90°, sorted by position)
h k l	Position (°2θ)	intensity
1 0 0	19.67	24
1 1 0	27.95	22
1 1 2	34.41	100
2 0 0	39.94	49
2 1 0	44.90	13
2 1 2	49.46	10
2 2 0	57.77	31
2 2 2	61.64	6
3 1 2	69.00	36
2 2 4	72.54	10

***

# Tb12Nd6Mg
Theoretical X-ray diffraction stick pattern, λ = 1.5418 Å (Cu Kα). Input: a crystal structure in Alexandria, relaxed with PBE.
Intensities are scaled so that the largest is 100.

Structure:
```
data_Tb12Nd6Mg
_chemical_formula_sum 'Tb36 Nd18 Mg3'
_cell_length_a 12.0106
_cell_length_b 12.0106
_cell_length_c 15.1171
_cell_angle_alpha 90.00
_cell_angle_beta 90.00
_cell_angle_gamma 120.00
_space_group_name_H-M_alt 'R -3'
_space_group_IT_number 148
_space_group_name_Hall '-R 3'
loop_
_atom_site_label
_atom_site_type_symbol
_atom_site_fract_x
_atom_site_fract_y
_atom_site_fract_z
_atom_site_occupancy
Tb1 Tb 0.0012 0.8279 0.3121 1
Tb2 Tb 0.0470 0.1948 0.9159 1
Nd1 Nd 0.0142 0.5913 0.1853 1
Mg1 Mg 0.0000 0.0000 0.5000 1
```

Peak list (10 most intense, 2θ = 10–90°, sorted by position)
h k l	Position (°2θ)	intensity
2 -1 3	23.04	15
3 -1 1	23.38	14
0 1 5	30.80	39
0 3 3	31.32	26
4 -3 1	31.57	100
2 1 4	32.87	72
3 1 2	33.24	24
4 -2 3	34.78	15
3 2 4	44.92	15
2 5 0	55.12	17

***

# K2BaSiSe4
Theoretical X-ray diffraction stick pattern, λ = 1.5418 Å (Cu Kα). Input: a crystal structure in Alexandria, relaxed with PBE.
Intensities are scaled so that the largest is 100.

Structure:
```
data_K2BaSiSe4
_chemical_formula_sum 'K8 Ba4 Si4 Se16'
_cell_length_a 12.964
_cell_length_b 12.212
_cell_length_c 9.439
_cell_angle_alpha 90.00
_cell_angle_beta 133.26
_cell_angle_gamma 90.00
_space_group_name_H-M_alt 'C 1 2/c 1'
_space_group_IT_number 15
_space_group_name_Hall '-C 2yc'
loop_
_atom_site_label
_atom_site_type_symbol
_atom_site_fract_x
_atom_site_fract_y
_atom_site_fract_z
_atom_site_occupancy
K1 K 0.000 0.000 0.000 1
K2 K 0.250 0.250 0.000 1
Ba1 Ba 0.250 0.250 0.500 1
Si1 Si 0.000 0.500 0.000 1
Se1 Se 0.008 0.299 0.017 1
Se2 Se 0.209 0.498 0.060 1
```

Peak list (10 most intense, 2θ = 10–90°, sorted by position)
h k l	Position (°2θ)	intensity
1 1 -1	11.86	68
1 1 -2	21.83	38
0 0 2	25.92	100
4 0 -2	27.52	44
0 4 0	29.26	60
3 3 -2	30.88	47
3 3 0	36.05	32
4 0 0	38.11	42
0 4 2	39.49	46
4 2 -4	41.06	33

***

# ZrCu2Pb
Theoretical X-ray diffraction stick pattern, λ = 1.5418 Å (Cu Kα). Input: a crystal structure in Alexandria, relaxed with PBE.
Intensities are scaled so that the largest is 100.

Structure:
```
data_ZrCu2Pb
_chemical_formula_sum 'Zr1 Cu2 Pb1'
_cell_length_a 3.328
_cell_length_b 4.222
_cell_length_c 5.526
_cell_angle_alpha 90.00
_cell_angle_beta 106.07
_cell_angle_gamma 90.00
_space_group_name_H-M_alt 'P 1 m 1'
_space_group_IT_number 6
_space_group_name_Hall 'P -2y'
loop_
_atom_site_label
_atom_site_type_symbol
_atom_site_fract_x
_atom_site_fract_y
_atom_site_fract_z
_atom_site_occupancy
Zr1 Zr 0.000 0.000 0.000 1
Cu1 Cu 0.584 0.500 0.183 1
Cu2 Cu 0.696 0.000 0.437 1
Pb1 Pb 0.307 0.500 0.642 1
```

Peak list (10 most intense, 2θ = 10–90°, sorted by position)
h k l	Position (°2θ)	intensity
0 1 1	26.98	62
1 1 0	35.20	89
1 1 -1	35.54	100
1 0 1	36.60	55
1 0 -2	37.57	48
0 1 2	40.12	99
0 2 0	42.84	54
2 0 -1	55.21	34
1 2 1	57.58	30
2 1 -3	71.25	28

***

# La2HoAl12Pd3
Theoretical X-ray diffraction stick pattern, λ = 1.5418 Å (Cu Kα). Input: a crystal structure in Alexandria, relaxed with PBE.
Intensities are scaled so that the largest is 100.

Structure:
```
data_La2HoAl12Pd3
_chemical_formula_sum 'La6 Ho3 Al36 Pd9'
_cell_length_a 8.7253
_cell_length_b 8.7253
_cell_length_c 18.7296
_cell_angle_alpha 90.00
_cell_angle_beta 90.00
_cell_angle_gamma 120.00
_space_group_name_H-M_alt 'R -3 m'
_space_group_IT_number 166
_space_group_name_Hall '-R 3 2"'
loop_
_atom_site_label
_atom_site_type_symbol
_atom_site_fract_x
_atom_site_fract_y
_atom_site_fract_z
_atom_site_occupancy
La1 La 0.0000 0.0000 0.0788 1
Ho1 Ho 0.0000 0.0000 0.5000 1
Al1 Al 0.0595 0.5297 0.2974 1
Al2 Al 0.0917 0.5458 0.8736 1
Pd1 Pd 0.0000 0.5000 0.0000 1
```

Peak list (10 most intense, 2θ = 10–90°, sorted by position)
h k l	Position (°2θ)	intensity
1 1 0	20.36	48
0 2 1	24.03	91
1 1 3	24.90	58
2 0 2	25.42	100
0 1 5	26.56	40
1 2 2	32.78	55
1 0 7	35.60	81
1 2 5	39.68	56
2 2 0	41.39	87
3 2 7	64.00	42